# Mn12O5F19
Computed powder X-ray diffraction pattern, Cu Kα, 1.54184 Å. Input: the GGA+U geometry in the Materials Project.

Top 12 peaks for 2θ from 5° to 70°, sorted by position:
d/Å, 2θ/deg, intensity
3.823, 23.27, 69
3.662, 24.30, 65
3.110, 28.71, 77
3.092, 28.88, 78
3.021, 29.57, 71
3.006, 29.72, 73
2.651, 33.81, 28
2.329, 38.66, 31
1.833, 49.73, 31
1.794, 50.90, 100
1.734, 52.80, 28
1.518, 61.05, 32

Atomic structure:
Lattice parameters (Å, degrees): 4.877 5.841 15.909 89.48 89.96 87.50
Sites, in units of the cell vectors:
Mn1 0.000 0.000 0.000
Mn2 0.002 0.687 0.502
Mn3 0.019 0.699 0.836
Mn4 0.023 0.676 0.172
Mn5 0.027 0.995 0.329
Mn6 0.495 0.512 0.331
Mn7 0.499 0.183 0.831
Mn8 0.506 0.508 0.995
Mn9 0.522 0.163 0.507
Mn10 0.529 0.183 0.154
Mn11 0.560 0.541 0.672
Mn12 0.997 0.984 0.665
O1 0.220 0.737 0.943
O2 0.228 0.743 0.282
O3 0.734 0.230 0.046
O4 0.797 0.938 0.563
O5 0.817 0.751 0.729
F1 0.231 0.961 0.108
F2 0.237 0.969 0.769
F3 0.243 0.959 0.441
F4 0.257 0.234 0.941
F5 0.259 0.206 0.615
F6 0.266 0.716 0.604
F7 0.277 0.450 0.447
F8 0.282 0.474 0.778
F9 0.284 0.233 0.269
F10 0.284 0.460 0.104
F11 0.731 0.456 0.221
F12 0.731 0.467 0.885
F13 0.742 0.442 0.555
F14 0.747 0.243 0.724
F15 0.751 0.227 0.384
F16 0.770 0.736 0.060
F17 0.774 0.737 0.392
F18 0.777 0.956 0.890
F19 0.780 0.965 0.225



# Mn6O7F5
Computed powder X-ray diffraction pattern, Cu Kα, 1.54184 Å. Input: the GGA+U geometry in the Materials Project.

Top 12 peaks for 2θ from 5° to 70°, sorted by position:
d/Å, 2θ/deg, intensity
3.567, 24.96, 59
3.529, 25.23, 55
2.932, 30.49, 50
2.913, 30.69, 50
2.902, 30.81, 100
2.473, 36.34, 23
2.465, 36.45, 22
2.163, 41.77, 21
1.705, 53.77, 25
1.694, 54.12, 23
1.687, 54.38, 20
1.668, 55.07, 36

Atomic structure:
Lattice parameters (Å, degrees): 4.562 5.644 15.290 89.79 89.65 89.38
Sites, in units of the cell vectors:
Mn1 0.000 0.000 0.000
Mn2 0.001 0.281 0.827
Mn3 0.004 0.981 0.330
Mn4 0.492 0.481 0.316
Mn5 0.495 0.788 0.820
Mn6 0.513 0.785 0.146
Mn7 0.521 0.469 0.983
Mn8 0.522 0.799 0.486
Mn9 0.549 0.487 0.654
Mn10 0.986 0.987 0.666
Mn11 0.993 0.271 0.496
Mn12 0.995 0.285 0.161
O1 0.211 0.252 0.270
O2 0.219 0.011 0.770
O3 0.222 0.016 0.437
O4 0.223 0.016 0.102
O5 0.223 0.245 0.935
O6 0.712 0.518 0.874
O7 0.714 0.744 0.376
O8 0.717 0.522 0.207
O9 0.735 0.749 0.712
O10 0.736 0.523 0.545
O11 0.736 0.746 0.040
O12 0.776 0.236 0.053
O13 0.783 0.244 0.718
O14 0.785 0.031 0.558
F1 0.245 0.761 0.931
F2 0.247 0.508 0.431
F3 0.253 0.752 0.252
F4 0.262 0.251 0.608
F5 0.269 0.760 0.599
F6 0.272 0.509 0.087
F7 0.276 0.513 0.754
F8 0.735 0.245 0.386
F9 0.753 0.013 0.225
F10 0.753 0.014 0.894



# Mn6OF11
Computed powder X-ray diffraction pattern, Cu Kα, 1.54184 Å. Input: the GGA+U geometry in the Materials Project.

Top 12 peaks for 2θ from 5° to 70°, sorted by position:
d/Å, 2θ/deg, intensity
3.818, 23.30, 41
3.778, 23.55, 35
3.126, 28.56, 46
3.113, 28.68, 100
3.078, 29.01, 45
2.702, 33.15, 17
2.304, 39.10, 19
1.839, 49.58, 24
1.817, 50.20, 23
1.803, 50.63, 18
1.797, 50.81, 17
1.518, 61.05, 24

Atomic structure:
Lattice parameters (Å, degrees): 4.965 5.897 16.214 90.33 90.67 90.60
Sites, in units of the cell vectors:
Mn1 0.002 0.328 0.417
Mn2 0.008 0.354 0.753
Mn3 0.013 0.664 0.912
Mn4 0.478 0.811 0.757
Mn5 0.490 0.171 0.917
Mn6 0.491 0.833 0.413
Mn7 0.509 0.167 0.587
Mn8 0.510 0.829 0.083
Mn9 0.522 0.189 0.243
Mn10 0.987 0.336 0.088
Mn11 0.992 0.646 0.247
Mn12 0.998 0.672 0.583
O1 0.207 0.587 0.804
O2 0.793 0.413 0.196
F1 0.221 0.388 0.642
F2 0.224 0.388 0.980
F3 0.230 0.607 0.474
F4 0.233 0.620 0.144
F5 0.236 0.393 0.308
F6 0.249 0.876 0.300
F7 0.260 0.108 0.805
F8 0.272 0.104 0.475
F9 0.272 0.891 0.973
F10 0.284 0.891 0.641
F11 0.285 0.113 0.138
F12 0.715 0.887 0.862
F13 0.716 0.109 0.359
F14 0.728 0.109 0.027
F15 0.728 0.896 0.525
F16 0.740 0.892 0.195
F17 0.751 0.124 0.700
F18 0.764 0.607 0.692
F19 0.767 0.380 0.856
F20 0.770 0.393 0.526
F21 0.776 0.612 0.020
F22 0.779 0.612 0.358